No. 1
Computed powder XRD pattern of K2Cu3As4O12 for Cu Kα (λ = 1.5418 Å), from a cell relaxed with GGA-PBE.
Kinematic intensities with the Lorentz-polarization factor, no thermal factor.

The 10 most intense peaks (2θ from 10° to 90°), sorted by position:
2θ (°)	I (rel.)
18.56	39
19.33	63
24.65	100
30.66	97
32.98	67
33.49	74
33.60	54
34.81	67
41.61	40
58.58	35

Cell and atoms:
```
K2Cu3As4O12
1.0
5.388 -2.716 0.000
5.388 2.716 0.000
-4.120 0.000 10.852
K Cu As O
2 3 4 12
direct
0.132 0.132 0.421
0.868 0.868 0.579
0.274 0.274 0.760
0.500 0.500 0.000
0.726 0.726 0.240
0.169 0.169 0.045
0.405 0.405 0.307
0.595 0.595 0.693
0.831 0.831 0.955
0.083 0.596 0.353
0.142 0.626 0.885
0.347 0.347 0.142
0.374 0.858 0.115
0.404 0.917 0.647
0.427 0.427 0.642
0.573 0.573 0.358
0.596 0.083 0.353
0.626 0.142 0.885
0.653 0.653 0.858
0.858 0.374 0.115
0.917 0.404 0.647
```



No. 2
Computed powder XRD pattern of Zr2Ni3Pt for Cu Kα (λ = 1.5418 Å), from a cell relaxed with GGA-PBE.
Kinematic intensities with the Lorentz-polarization factor, no thermal factor.

The 10 most intense peaks (2θ from 10° to 90°), sorted by position:
2θ (°)	I (rel.)
18.12	24
31.20	30
36.19	55
38.40	59
40.96	49
41.64	53
42.11	100
42.30	28
44.76	26
47.88	27

Cell and atoms:
```
Zr2Ni3Pt
1.0
4.756 0.000 0.000
-0.081 4.935 0.000
-1.340 -1.037 8.011
Zr Ni Pt
4 6 2
direct
0.171 0.288 0.108
0.279 0.910 0.625
0.721 0.090 0.375
0.829 0.712 0.892
0.202 0.845 0.296
0.240 0.375 0.434
0.371 0.801 0.032
0.629 0.199 0.968
0.760 0.625 0.566
0.798 0.155 0.704
0.281 0.444 0.762
0.719 0.556 0.238
```



No. 3
Computed powder XRD pattern of NbCr3Ag2S8 for Cu Kα (λ = 1.5418 Å), from a cell relaxed with GGA-PBE.
Kinematic intensities with the Lorentz-polarization factor, no thermal factor.

The 10 most intense peaks (2θ from 10° to 90°), sorted by position:
2θ (°)	I (rel.)
12.96	45
14.48	37
18.36	43
20.68	30
30.05	32
30.41	56
32.52	40
36.08	89
40.22	100
54.64	27

Cell and atoms:
```
NbCr3Ag2S8
1.0
6.019 0.000 0.000
0.000 13.648 0.000
-0.020 0.000 6.843
Nb Cr Ag S
2 6 4 16
direct
0.000 0.000 0.000
0.000 0.500 0.000
0.000 0.000 0.500
0.000 0.500 0.500
0.493 0.005 0.247
0.493 0.495 0.247
0.507 0.505 0.753
0.507 0.995 0.753
0.159 0.250 0.511
0.363 0.750 0.276
0.637 0.250 0.724
0.841 0.750 0.489
0.169 0.105 0.257
0.169 0.395 0.257
0.180 0.099 0.744
0.180 0.401 0.744
0.332 0.595 0.495
0.332 0.905 0.495
0.336 0.604 0.007
0.336 0.896 0.007
0.664 0.104 0.993
0.664 0.396 0.993
0.668 0.095 0.505
0.668 0.405 0.505
0.820 0.599 0.256
0.820 0.901 0.256
0.831 0.605 0.743
0.831 0.895 0.743
```



No. 4
Computed powder XRD pattern of KFeCuBr5 for Cu Kα (λ = 1.5418 Å), from a cell relaxed with GGA-PBE.
Kinematic intensities with the Lorentz-polarization factor, no thermal factor.

The 10 most intense peaks (2θ from 10° to 90°), sorted by position:
2θ (°)	I (rel.)
17.71	35
19.05	42
23.66	76
26.99	100
28.41	53
29.68	53
31.23	40
36.15	43
46.78	36
51.93	35

Cell and atoms:
```
KFeCuBr5
1.0
4.886 -6.213 0.000
4.886 6.213 0.000
-2.666 0.000 8.419
K Fe Cu Br
2 2 2 10
direct
0.156 0.844 0.750
0.844 0.156 0.250
0.184 0.816 0.250
0.816 0.184 0.750
0.500 0.500 0.000
0.500 0.500 0.500
0.088 0.240 0.941
0.177 0.578 0.381
0.240 0.088 0.441
0.422 0.823 0.119
0.429 0.571 0.750
0.571 0.429 0.250
0.578 0.177 0.881
0.760 0.912 0.559
0.823 0.422 0.619
0.912 0.760 0.059
```